# 1
Calculated PXRD pattern of Tb6Er4Tl for Cu Kα X-rays, from a DFT-relaxed cell (PBE, Alexandria).

The 10 most intense peaks (2θ from 15° to 90°), by intensity:
| d/Å | Rel. int. | hkl |
| --- | --- | --- |
| 2.717 | 100 | 2 2 0 |
| 2.782 | 89 | 2 0 1 |
| 1.456 | 30 | 2 2 2 |
| 2.476 | 27 | 2 1 1 |
| 2.912 | 26 | 1 1 1 |
| 1.944 | 23 | 4 0 1 |
| 3.137 | 23 | 3 0 0 |
| 1.581 | 18 | 4 2 1 |
| 2.321 | 16 | 3 0 1 |
| 1.507 | 14 | 5 2 0 |

Structural model:
```
data_Tb6Er4Tl
_chemical_formula_sum 'Tb6 Er4 Tl1'
_cell_length_a 10.8676
_cell_length_b 10.8676
_cell_length_c 3.4487
_cell_angle_alpha 90.00
_cell_angle_beta 90.00
_cell_angle_gamma 120.00
_symmetry_space_group_name_H-M 'P -6 m 2'
_symmetry_Int_Tables_number 187
_symmetry_space_group_name_Hall 'P -6 2'
loop_
_atom_site_label
_atom_site_fract_x
_atom_site_fract_y
_atom_site_fract_z
Tb1 0.1847 0.3694 0.0000
Tb2 0.5204 0.0408 0.5000
Er1 0.3034 0.1517 0.0000
Er2 0.3333 0.6667 0.5000
Tl1 0.0000 0.0000 0.5000
```

---

# 2
Calculated PXRD pattern of Tb3Er12Tl for Cu Kα X-rays, from a DFT-relaxed cell (PBE, Alexandria).

The 10 most intense peaks (2θ from 15° to 90°), by intensity:
| d/Å | Rel. int. | hkl |
| --- | --- | --- |
| 2.853 | 100 | 1 1 4 |
| 2.459 | 33 | 2 0 0 |
| 1.485 | 28 | 3 1 4 |
| 1.752 | 24 | 2 0 8 |
| 2.495 | 17 | 0 0 8 |
| 1.501 | 14 | 1 1 12 |
| 1.427 | 12 | 2 2 8 |
| 1.739 | 12 | 2 2 0 |
| 1.136 | 12 | 3 1 12 |
| 1.129 | 6 | 3 3 4 |

Structural model:
```
data_Tb3Er12Tl
_chemical_formula_sum 'Tb3 Er12 Tl1'
_cell_length_a 4.9182
_cell_length_b 4.9182
_cell_length_c 19.9640
_cell_angle_alpha 90.00
_cell_angle_beta 90.00
_cell_angle_gamma 90.00
_symmetry_space_group_name_H-M 'P 4/m m m'
_symmetry_Int_Tables_number 123
_symmetry_space_group_name_Hall '-P 4 2'
loop_
_atom_site_label
_atom_site_fract_x
_atom_site_fract_y
_atom_site_fract_z
Tb1 0.0000 0.0000 0.0000
Tb2 0.0000 0.0000 0.2511
Er1 0.0000 0.5000 0.1263
Er2 0.0000 0.5000 0.3781
Er3 0.5000 0.5000 0.0000
Er4 0.5000 0.5000 0.2555
Er5 0.5000 0.5000 0.5000
Tl1 0.0000 0.0000 0.5000
```

---

# 3
Calculated PXRD pattern of TbEr6Tl6 for Cu Kα X-rays, from a DFT-relaxed cell (PBE, Alexandria).

The 10 most intense peaks (2θ from 15° to 90°), by intensity:
| d/Å | Rel. int. | hkl |
| --- | --- | --- |
| 2.448 | 100 | 2 0 2 |
| 2.729 | 67 | 1 1 2 |
| 2.769 | 56 | 2 0 0 |
| 1.599 | 33 | 2 2 0 |
| 2.618 | 29 | 0 0 4 |
| 3.197 | 25 | 1 1 0 |
| 1.532 | 24 | 1 1 6 |
| 1.364 | 23 | 2 2 4 |
| 2.367 | 23 | 1 0 4 |
| 2.953 | 19 | 1 0 3 |

Structural model:
```
data_TbEr6Tl6
_chemical_formula_sum 'Tb1 Er6 Tl6'
_cell_length_a 6.3944
_cell_length_b 6.3944
_cell_length_c 10.4725
_cell_angle_alpha 90.00
_cell_angle_beta 90.00
_cell_angle_gamma 120.00
_symmetry_space_group_name_H-M 'P 6/m m m'
_symmetry_Int_Tables_number 191
_symmetry_space_group_name_Hall '-P 6 2'
loop_
_atom_site_label
_atom_site_fract_x
_atom_site_fract_y
_atom_site_fract_z
Tb1 0.0000 0.0000 0.0000
Er1 0.0000 0.0000 0.3378
Er2 0.3333 0.6667 0.0000
Er3 0.3333 0.6667 0.5000
Tl1 0.0000 0.5000 0.2460
```

---

# 4
Calculated PXRD pattern of Tb3Er2Tm3 for Cu Kα X-rays, from a DFT-relaxed cell (PBE, Alexandria).

The 10 most intense peaks (2θ from 15° to 90°), by intensity:
| d/Å | Rel. int. | hkl |
| --- | --- | --- |
| 2.700 | 100 | 1 1 3 |
| 2.725 | 96 | 3 0 0 |
| 1.918 | 29 | 2 2 3 |
| 1.569 | 27 | 4 1 3 |
| 1.408 | 24 | 3 0 6 |
| 3.149 | 22 | 2 0 2 |
| 2.949 | 22 | 2 1 1 |
| 2.619 | 19 | 1 2 2 |
| 1.574 | 17 | 3 3 0 |
| 1.753 | 14 | 2 3 2 |

Structural model:
```
data_Tb3Er2Tm3
_chemical_formula_sum 'Tb9 Er6 Tm9'
_cell_length_a 9.4403
_cell_length_b 9.4403
_cell_length_c 9.8758
_cell_angle_alpha 90.00
_cell_angle_beta 90.00
_cell_angle_gamma 120.00
_symmetry_space_group_name_H-M 'R 3 2'
_symmetry_Int_Tables_number 155
_symmetry_space_group_name_Hall 'R 3 2"'
loop_
_atom_site_label
_atom_site_fract_x
_atom_site_fract_y
_atom_site_fract_z
Tb1 0.0000 0.6888 0.0000
Er1 0.0000 0.0000 0.1982
Tm1 0.0000 0.2874 0.5000
```

---

# 5
Calculated PXRD pattern of Tb5Er3Tm3 for Cu Kα X-rays, from a DFT-relaxed cell (PBE, Alexandria).

The 10 most intense peaks (2θ from 15° to 90°), by intensity:
| d/Å | Rel. int. | hkl |
| --- | --- | --- |
| 2.720 | 100 | 2 1 1 |
| 2.469 | 88 | 3 0 1 |
| 5.419 | 68 | 0 0 1 |
| 3.300 | 68 | 2 0 1 |
| 2.710 | 62 | 0 0 2 |
| 2.773 | 53 | 3 0 0 |
| 2.123 | 44 | 3 1 1 |
| 3.145 | 42 | 2 1 0 |
| 1.938 | 39 | 3 0 2 |
| 1.510 | 34 | 4 2 1 |

Structural model:
```
data_Tb5Er3Tm3
_chemical_formula_sum 'Tb5 Er3 Tm3'
_cell_length_a 9.6067
_cell_length_b 9.6067
_cell_length_c 5.4190
_cell_angle_alpha 90.00
_cell_angle_beta 90.00
_cell_angle_gamma 120.00
_symmetry_space_group_name_H-M 'P -6 2 m'
_symmetry_Int_Tables_number 189
_symmetry_space_group_name_Hall 'P -6 -2'
loop_
_atom_site_label
_atom_site_fract_x
_atom_site_fract_y
_atom_site_fract_z
Tb1 0.0000 0.7385 0.0000
Tb2 0.3333 0.6667 0.0000
Er1 0.0000 0.5494 0.5000
Tm1 0.0000 0.3730 0.0000
```

---

# 6
Calculated PXRD pattern of Tb3Er4Tm8 for Cu Kα X-rays, from a DFT-relaxed cell (PBE, Alexandria).

The 10 most intense peaks (2θ from 15° to 90°), by intensity:
| d/Å | Rel. int. | hkl |
| --- | --- | --- |
| 2.800 | 100 | 0 2 4 |
| 2.445 | 73 | 2 0 8 |
| 2.895 | 57 | 0 0 12 |
| 1.471 | 45 | 2 2 12 |
| 1.708 | 37 | 2 2 0 |
| 2.944 | 27 | 0 2 1 |
| 1.750 | 23 | 0 2 16 |
| 1.104 | 18 | 2 2 24 |
| 3.276 | 17 | 1 1 3 |
| 1.498 | 17 | 2 0 20 |

Structural model:
```
data_Tb3Er4Tm8
_chemical_formula_sum 'Tb9 Er12 Tm24'
_cell_length_a 6.8311
_cell_length_b 6.8311
_cell_length_c 34.7371
_cell_angle_alpha 90.00
_cell_angle_beta 90.00
_cell_angle_gamma 120.00
_symmetry_space_group_name_H-M 'R -3 m'
_symmetry_Int_Tables_number 166
_symmetry_space_group_name_Hall '-R 3 2"'
loop_
_atom_site_label
_atom_site_fract_x
_atom_site_fract_y
_atom_site_fract_z
Tb1 0.0000 0.5000 0.0000
Er1 0.0000 0.0000 0.0000
Er2 0.0000 0.0000 0.1636
Er3 0.0000 0.0000 0.5000
Tm1 0.0000 0.0000 0.2548
Tm2 0.0012 0.5006 0.2500
```

---

# 7
Calculated PXRD pattern of TbEr7Tm2 for Cu Kα X-rays, from a DFT-relaxed cell (PBE, Alexandria).

The 10 most intense peaks (2θ from 15° to 90°), by intensity:
| d/Å | Rel. int. | hkl |
| --- | --- | --- |
| 2.805 | 100 | 1 0 3 |
| 2.864 | 87 | 1 2 2 |
| 2.676 | 46 | 2 0 1 |
| 2.650 | 43 | 0 2 -1 |
| 1.883 | 31 | 2 2 0 |
| 1.474 | 29 | 1 4 5 |
| 1.549 | 18 | 1 2 -3 |
| 1.569 | 18 | 3 0 4 |
| 2.570 | 18 | -1 2 2 |
| 2.151 | 16 | 0 2 4 |

Structural model:
```
data_TbEr7Tm2
_chemical_formula_sum 'Tb1 Er7 Tm2'
_cell_length_a 5.3525
_cell_length_b 6.9284
_cell_length_c 9.3208
_cell_angle_alpha 68.21
_cell_angle_beta 73.32
_cell_angle_gamma 89.95
_symmetry_space_group_name_H-M 'P -1'
_symmetry_Int_Tables_number 2
loop_
_symmetry_equiv_pos_as_xyz
'x,y,z'
'-x,-y,-z'
loop_
_atom_site_label
_atom_site_fract_x
_atom_site_fract_y
_atom_site_fract_z
Tb1 0.0000 0.0000 0.0000
Er1 0.0000 0.5000 0.0000
Er2 0.2000 0.2005 0.6002
Er3 0.3896 0.1404 0.2204
Er4 0.3896 0.6388 0.2204
Tm1 0.1995 0.6999 0.6014
```